[1]
Starting from a DFT-relaxed cell (GGA-PBE, the Materials Project), the PXRD pattern of CdI2 was computed for Cu Ka.
Lines closer than 0.1° are merged.

Peak list (10 most intense, 10° ≤ 2θ ≤ 90°, by angle)
- 2θ 11.4, 7.739 Å, I 78.7, (0 0 13)
- 2θ 26.4, 3.379 Å, I 100.0, (1 0 13)
- 2θ 28.6, 3.117 Å, I 16.1, (1 0 18)
- 2θ 30.2, 2.956 Å, I 16.7, (0 1 21)
- 2θ 33.2, 2.695 Å, I 26.7, (1 0 26)
- 2θ 41.7, 2.168 Å, I 53.3, (1 1 0)
- 2θ 42.5, 2.126 Å, I 25.8, (0 1 39)
- 2θ 43.3, 2.088 Å, I 18.0, (1 1 13)
- 2θ 50.0, 1.825 Å, I 16.9, (0 2 13)
- 2θ 64.6, 1.444 Å, I 19.7, (1 1 52)

Structure:
Lattice parameters (Å, degrees): 4.337 4.337 100.608 90.00 90.00 120.00
Fractional coordinates of all 39 atoms:
Cd (0.000, 0.000, 0.000)
Cd (0.000, 0.000, 0.077)
Cd (0.000, 0.000, 0.231)
Cd (0.000, 0.000, 0.385)
Cd (0.000, 0.000, 0.462)
Cd (0.000, 0.000, 0.692)
Cd (0.000, 0.000, 0.846)
Cd (0.333, 0.667, 0.154)
Cd (0.333, 0.667, 0.308)
Cd (0.333, 0.667, 0.538)
Cd (0.333, 0.667, 0.615)
Cd (0.333, 0.667, 0.769)
Cd (0.333, 0.667, 0.923)
I (0.000, 0.000, 0.137)
I (0.000, 0.000, 0.291)
I (0.000, 0.000, 0.521)
I (0.000, 0.000, 0.598)
I (0.000, 0.000, 0.752)
I (0.000, 0.000, 0.906)
I (0.333, 0.667, 0.060)
I (0.333, 0.667, 0.214)
I (0.333, 0.667, 0.368)
I (0.333, 0.667, 0.444)
I (0.333, 0.667, 0.675)
I (0.333, 0.667, 0.829)
I (0.333, 0.667, 0.983)
I (0.667, 0.333, 0.017)
I (0.667, 0.333, 0.094)
I (0.667, 0.333, 0.171)
I (0.667, 0.333, 0.248)
I (0.667, 0.333, 0.325)
I (0.667, 0.333, 0.402)
I (0.667, 0.333, 0.479)
I (0.667, 0.333, 0.556)
I (0.667, 0.333, 0.632)
I (0.667, 0.333, 0.709)
I (0.667, 0.333, 0.786)
I (0.667, 0.333, 0.863)
I (0.667, 0.333, 0.940)

***

[2]
Starting from a DFT-relaxed cell (GGA-PBE, the Materials Project), the PXRD pattern of CdI2 was computed for Cu Ka.
Lines closer than 0.1° are merged.

Peak list (10 most intense, 10° ≤ 2θ ≤ 90°, by angle)
- 2θ 11.9, 7.459 Å, I 54.7, (0 0 7)
- 2θ 26.6, 3.351 Å, I 100.0, (0 1 7)
- 2θ 29.3, 3.047 Å, I 16.2, (0 1 10)
- 2θ 30.4, 2.943 Å, I 16.5, (1 0 11)
- 2θ 33.9, 2.645 Å, I 30.7, (0 1 14)
- 2θ 41.7, 2.166 Å, I 48.1, (1 1 0)
- 2θ 43.7, 2.072 Å, I 26.9, (1 0 21)
- 2θ 50.1, 1.819 Å, I 17.1, (2 0 7)
- 2θ 66.1, 1.413 Å, I 20.8, (1 1 28)
- 2θ 67.2, 1.393 Å, I 14.0, (1 2 7)

Structure:
Lattice parameters (Å, degrees): 4.332 4.332 52.210 90.00 90.00 120.00
Fractional coordinates of all 21 atoms:
Cd (0.000, 0.000, 0.000)
Cd (0.000, 0.000, 0.143)
Cd (0.000, 0.000, 0.286)
Cd (0.000, 0.000, 0.428)
Cd (0.000, 0.000, 0.714)
Cd (0.667, 0.333, 0.571)
Cd (0.667, 0.333, 0.857)
I (0.000, 0.000, 0.538)
I (0.000, 0.000, 0.824)
I (0.333, 0.667, 0.033)
I (0.333, 0.667, 0.176)
I (0.333, 0.667, 0.319)
I (0.333, 0.667, 0.462)
I (0.333, 0.667, 0.604)
I (0.333, 0.667, 0.747)
I (0.333, 0.667, 0.890)
I (0.667, 0.333, 0.110)
I (0.667, 0.333, 0.253)
I (0.667, 0.333, 0.395)
I (0.667, 0.333, 0.681)
I (0.667, 0.333, 0.967)

***

[3]
Starting from a DFT-relaxed cell (GGA-PBE, the Materials Project), the PXRD pattern of CdI2 was computed for Cu Ka.
Lines closer than 0.1° are merged.

Peak list (10 most intense, 10° ≤ 2θ ≤ 90°, by angle)
- 2θ 11.8, 7.522 Å, I 60.9, (0 0 6)
- 2θ 26.5, 3.359 Å, I 100.0, (0 1 6)
- 2θ 29.7, 3.005 Å, I 28.4, (1 0 9)
- 2θ 33.7, 2.657 Å, I 28.5, (0 1 12)
- 2θ 38.3, 2.348 Å, I 17.3, (1 0 15)
- 2θ 41.7, 2.167 Å, I 52.5, (1 1 0)
- 2θ 43.4, 2.084 Å, I 41.0, (1 0 18)
- 2θ 50.1, 1.821 Å, I 17.0, (2 0 6)
- 2θ 65.7, 1.420 Å, I 20.5, (1 1 24)
- 2θ 77.2, 1.235 Å, I 18.0, (1 1 30)

Structure:
Lattice parameters (Å, degrees): 4.335 4.335 45.135 90.00 90.00 120.00
Fractional coordinates of all 18 atoms:
Cd (0.000, 0.000, 0.000)
Cd (0.000, 0.000, 0.166)
Cd (0.000, 0.000, 0.332)
Cd (0.000, 0.000, 0.665)
Cd (0.667, 0.333, 0.499)
Cd (0.667, 0.333, 0.832)
I (0.000, 0.000, 0.461)
I (0.000, 0.000, 0.794)
I (0.333, 0.667, 0.038)
I (0.333, 0.667, 0.204)
I (0.333, 0.667, 0.370)
I (0.333, 0.667, 0.537)
I (0.333, 0.667, 0.703)
I (0.333, 0.667, 0.870)
I (0.667, 0.333, 0.127)
I (0.667, 0.333, 0.294)
I (0.667, 0.333, 0.627)
I (0.667, 0.333, 0.962)

***

[4]
Starting from a DFT-relaxed cell (GGA-PBE, the Materials Project), the PXRD pattern of CdI2 was computed for Cu Ka.
Lines closer than 0.1° are merged.

Peak list (10 most intense, 10° ≤ 2θ ≤ 90°, by angle)
- 2θ 11.3, 7.817 Å, I 82.5, (0 0 10)
- 2θ 26.3, 3.383 Å, I 100.0, (1 0 10)
- 2θ 26.9, 3.319 Å, I 20.2, (1 0 11)
- 2θ 32.3, 2.773 Å, I 24.4, (0 1 19)
- 2θ 33.1, 2.707 Å, I 29.5, (1 0 20)
- 2θ 33.9, 2.643 Å, I 22.6, (0 1 21)
- 2θ 41.7, 2.167 Å, I 52.1, (1 1 0)
- 2θ 42.2, 2.140 Å, I 26.2, (0 1 30)
- 2θ 43.3, 2.088 Å, I 18.1, (1 1 10)
- 2θ 64.2, 1.451 Å, I 18.7, (1 1 40)

Structure:
Lattice parameters (Å, degrees): 4.333 4.333 78.172 90.00 90.00 120.00
Fractional coordinates of all 30 atoms:
Cd (0.000, 0.000, 0.000)
Cd (0.000, 0.000, 0.100)
Cd (0.000, 0.000, 0.200)
Cd (0.000, 0.000, 0.300)
Cd (0.000, 0.000, 0.400)
Cd (0.000, 0.000, 0.500)
Cd (0.333, 0.667, 0.600)
Cd (0.333, 0.667, 0.700)
Cd (0.333, 0.667, 0.800)
Cd (0.333, 0.667, 0.900)
I (0.000, 0.000, 0.578)
I (0.000, 0.000, 0.678)
I (0.000, 0.000, 0.778)
I (0.000, 0.000, 0.878)
I (0.333, 0.667, 0.078)
I (0.333, 0.667, 0.178)
I (0.333, 0.667, 0.278)
I (0.333, 0.667, 0.378)
I (0.333, 0.667, 0.478)
I (0.333, 0.667, 0.978)
I (0.667, 0.333, 0.022)
I (0.667, 0.333, 0.122)
I (0.667, 0.333, 0.222)
I (0.667, 0.333, 0.322)
I (0.667, 0.333, 0.422)
I (0.667, 0.333, 0.522)
I (0.667, 0.333, 0.622)
I (0.667, 0.333, 0.722)
I (0.667, 0.333, 0.822)
I (0.667, 0.333, 0.922)

***

[5]
Starting from a DFT-relaxed cell (GGA-PBE, the Materials Project), the PXRD pattern of CdI2 was computed for Cu Ka.
Lines closer than 0.1° are merged.

Peak list (10 most intense, 10° ≤ 2θ ≤ 90°, by angle)
- 2θ 12.1, 7.343 Å, I 63.3, (0 0 9)
- 2θ 24.2, 3.671 Å, I 17.0, (0 0 18)
- 2θ 26.6, 3.349 Å, I 100.0, (0 1 9)
- 2θ 29.5, 3.025 Å, I 21.7, (0 1 13)
- 2θ 30.4, 2.943 Å, I 38.5, (1 0 14)
- 2θ 38.3, 2.348 Å, I 21.6, (0 1 22)
- 2θ 41.6, 2.173 Å, I 63.1, (1 1 0)
- 2θ 44.1, 2.052 Å, I 24.8, (1 0 27)
- 2θ 50.0, 1.823 Å, I 17.2, (2 0 9)
- 2θ 66.7, 1.402 Å, I 28.3, (1 1 36)

Structure:
Lattice parameters (Å, degrees): 4.346 4.346 66.087 90.00 90.00 120.00
Fractional coordinates of all 27 atoms:
Cd (0.000, 0.000, 0.000)
Cd (0.000, 0.000, 0.111)
Cd (0.000, 0.000, 0.333)
Cd (0.000, 0.000, 0.556)
Cd (0.000, 0.000, 0.778)
Cd (0.333, 0.667, 0.889)
Cd (0.667, 0.333, 0.222)
Cd (0.667, 0.333, 0.444)
Cd (0.667, 0.333, 0.667)
I (0.000, 0.000, 0.196)
I (0.000, 0.000, 0.418)
I (0.000, 0.000, 0.641)
I (0.000, 0.000, 0.915)
I (0.333, 0.667, 0.026)
I (0.333, 0.667, 0.137)
I (0.333, 0.667, 0.248)
I (0.333, 0.667, 0.359)
I (0.333, 0.667, 0.471)
I (0.333, 0.667, 0.582)
I (0.333, 0.667, 0.693)
I (0.333, 0.667, 0.804)
I (0.667, 0.333, 0.085)
I (0.667, 0.333, 0.307)
I (0.667, 0.333, 0.529)
I (0.667, 0.333, 0.752)
I (0.667, 0.333, 0.863)
I (0.667, 0.333, 0.974)

***

[6]
Starting from a DFT-relaxed cell (GGA-PBE, the Materials Project), the PXRD pattern of CdI2 was computed for Cu Ka.
Lines closer than 0.1° are merged.

Peak list (10 most intense, 10° ≤ 2θ ≤ 90°, by angle)
- 2θ 11.9, 7.406 Å, I 50.5, (0 0 8)
- 2θ 26.6, 3.348 Å, I 100.0, (1 0 8)
- 2θ 32.9, 2.721 Å, I 12.0, (1 0 15)
- 2θ 34.0, 2.636 Å, I 32.7, (1 0 16)
- 2θ 41.7, 2.167 Å, I 46.6, (1 1 0)
- 2θ 43.5, 2.080 Å, I 12.3, (1 1 8)
- 2θ 43.9, 2.062 Å, I 26.9, (0 1 24)
- 2θ 50.2, 1.819 Å, I 17.1, (0 2 8)
- 2θ 66.4, 1.408 Å, I 20.4, (1 1 32)
- 2θ 67.2, 1.393 Å, I 14.1, (2 1 8)

Structure:
Lattice parameters (Å, degrees): 4.333 4.333 59.249 90.00 90.00 120.00
Fractional coordinates of all 24 atoms:
Cd (0.000, 0.000, 0.000)
Cd (0.000, 0.000, 0.125)
Cd (0.000, 0.000, 0.250)
Cd (0.000, 0.000, 0.375)
Cd (0.000, 0.000, 0.500)
Cd (0.000, 0.000, 0.625)
Cd (0.333, 0.667, 0.750)
Cd (0.333, 0.667, 0.875)
I (0.000, 0.000, 0.721)
I (0.000, 0.000, 0.846)
I (0.333, 0.667, 0.096)
I (0.333, 0.667, 0.221)
I (0.333, 0.667, 0.346)
I (0.333, 0.667, 0.471)
I (0.333, 0.667, 0.596)
I (0.333, 0.667, 0.971)
I (0.667, 0.333, 0.029)
I (0.667, 0.333, 0.154)
I (0.667, 0.333, 0.279)
I (0.667, 0.333, 0.404)
I (0.667, 0.333, 0.529)
I (0.667, 0.333, 0.654)
I (0.667, 0.333, 0.779)
I (0.667, 0.333, 0.904)